Entry 1:
Calculated powder diffractogram of ZnInGaSe2S2 for Cu Ka, from a DFT-relaxed cell (PBE, OQMD).
Lines closer than 0.1° are merged.

Top 10 peaks for 10° ≤ 2θ ≤ 90°, low angle first:
| d/Å | I (rel.) |
| --- | --- |
| 5.016 | 23 |
| 4.988 | 15 |
| 4.005 | 19 |
| 3.244 | 100 |
| 3.202 | 86 |
| 2.003 | 46 |
| 1.980 | 22 |
| 1.958 | 41 |
| 1.943 | 19 |
| 1.696 | 21 |

Cell: 5.656 5.673 6.702 Å, 114.06 114.92 90.02°
Element x y z (fractional)
Zn (0.000, 0.000, 0.000)
In (0.501, 0.483, 0.001)
Ga (0.738, 0.238, 0.500)
Se (0.105, 0.619, 0.718)
Se (0.910, 0.880, 0.283)
S (0.371, 0.359, 0.266)
S (0.626, 0.100, 0.736)

=====

Entry 2:
Calculated powder diffractogram of SrSm2As2 for Cu Ka, from a DFT-relaxed cell (PBE, OQMD).
Lines closer than 0.1° are merged.

Top 10 peaks for 10° ≤ 2θ ≤ 90°, low angle first:
| d/Å | I (rel.) |
| --- | --- |
| 5.064 | 13 |
| 3.359 | 17 |
| 3.188 | 100 |
| 2.359 | 19 |
| 2.223 | 14 |
| 2.162 | 43 |
| 1.983 | 15 |
| 1.820 | 14 |
| 1.789 | 19 |
| 1.379 | 16 |

Cell: 10.430 10.430 10.430 Å, 23.93 23.93 23.93°
Element x y z (fractional)
Sr (0.000, 0.000, 0.000)
Sm (0.221, 0.221, 0.221)
Sm (0.779, 0.779, 0.779)
As (0.399, 0.399, 0.399)
As (0.601, 0.601, 0.601)

=====

Entry 3:
Calculated powder diffractogram of Sc4Tl4InNi2 for Cu Ka, from a DFT-relaxed cell (PBE, OQMD).
Lines closer than 0.1° are merged.

Top 10 peaks for 10° ≤ 2θ ≤ 90°, low angle first:
| d/Å | I (rel.) |
| --- | --- |
| 3.409 | 38 |
| 3.352 | 100 |
| 2.935 | 39 |
| 2.772 | 58 |
| 2.593 | 52 |
| 2.526 | 50 |
| 2.513 | 81 |
| 2.488 | 60 |
| 2.390 | 47 |
| 1.998 | 43 |

Cell: 7.602 3.352 9.255 Å, 90.00 94.65 90.00°
Element x y z (fractional)
Sc (0.188, 0.000, 0.339)
Sc (0.199, 0.000, 0.937)
Sc (0.801, 0.000, 0.063)
Sc (0.812, 0.000, 0.661)
Tl (0.151, 0.500, 0.641)
Tl (0.455, 0.500, 0.165)
Tl (0.545, 0.500, 0.835)
Tl (0.849, 0.500, 0.359)
In (0.500, 0.500, 0.500)
Ni (0.073, 0.500, 0.130)
Ni (0.927, 0.500, 0.870)

=====

Entry 4:
Calculated powder diffractogram of Nd2Sm2C2I2Br2Cl for Cu Ka, from a DFT-relaxed cell (PBE, OQMD).
Lines closer than 0.1° are merged.

Top 10 peaks for 10° ≤ 2θ ≤ 90°, low angle first:
| d/Å | I (rel.) |
| --- | --- |
| 8.020 | 26 |
| 3.217 | 29 |
| 3.185 | 75 |
| 2.953 | 28 |
| 2.836 | 100 |
| 2.732 | 20 |
| 2.133 | 36 |
| 2.103 | 40 |
| 1.955 | 20 |
| 1.666 | 22 |

Cell: 10.013 10.013 8.242 Å, 103.06 103.06 22.51°
Element x y z (fractional)
Nd (0.155, 0.155, 0.089)
Nd (0.845, 0.845, 0.911)
Sm (0.498, 0.498, 0.202)
Sm (0.502, 0.502, 0.798)
C (0.037, 0.037, 0.019)
C (0.963, 0.963, 0.981)
I (0.339, 0.339, 0.615)
I (0.661, 0.661, 0.385)
Br (0.332, 0.332, 0.176)
Br (0.668, 0.668, 0.824)
Cl (0.000, 0.000, 0.500)

=====

Entry 5:
Calculated powder diffractogram of Co4Ni9 for Cu Ka, from a DFT-relaxed cell (PBE, OQMD).
Lines closer than 0.1° are merged.

Top 10 peaks for 10° ≤ 2θ ≤ 90°, low angle first:
| d/Å | I (rel.) |
| --- | --- |
| 2.288 | 46 |
| 2.056 | 41 |
| 2.004 | 26 |
| 1.987 | 100 |
| 1.975 | 48 |
| 1.914 | 51 |
| 1.832 | 49 |
| 1.716 | 25 |
| 1.236 | 22 |
| 1.144 | 30 |

Cell: 8.440 8.440 8.440 Å, 31.46 31.46 31.46°
Element x y z (fractional)
Co (0.046, 0.046, 0.046)
Co (0.334, 0.334, 0.334)
Co (0.666, 0.666, 0.666)
Co (0.954, 0.954, 0.954)
Ni (0.084, 0.588, 0.588)
Ni (0.151, 0.151, 0.151)
Ni (0.412, 0.412, 0.916)
Ni (0.412, 0.916, 0.412)
Ni (0.500, 0.500, 0.500)
Ni (0.588, 0.084, 0.588)
Ni (0.588, 0.588, 0.084)
Ni (0.849, 0.849, 0.849)
Ni (0.916, 0.412, 0.412)

=====

Entry 6:
Calculated powder diffractogram of Pr2I2BrN for Cu Ka, from a DFT-relaxed cell (PBE, OQMD).
Lines closer than 0.1° are merged.

Top 10 peaks for 10° ≤ 2θ ≤ 90°, low angle first:
| d/Å | I (rel.) |
| --- | --- |
| 3.573 | 51 |
| 3.413 | 40 |
| 3.147 | 45 |
| 3.093 | 57 |
| 2.968 | 100 |
| 2.729 | 37 |
| 2.498 | 32 |
| 2.332 | 43 |
| 2.253 | 32 |
| 2.073 | 36 |

Cell: 10.157 10.157 12.618 Å, 124.42 124.42 23.55°
Element x y z (fractional)
Pr (0.071, 0.071, 0.457)
Pr (0.366, 0.366, 0.225)
Pr (0.634, 0.634, 0.775)
Pr (0.929, 0.929, 0.543)
I (0.164, 0.164, 0.007)
I (0.278, 0.278, 0.380)
I (0.722, 0.722, 0.620)
I (0.836, 0.836, 0.993)
Br (0.469, 0.469, 0.743)
Br (0.531, 0.531, 0.257)
N (0.074, 0.074, 0.647)
N (0.926, 0.926, 0.353)